Computed X-ray powder pattern of Na2Gd2B2O7 for Cu Kα X-rays, from a PBE-relaxed structure.
Peak positions follow from Bragg's law for the DFT cell and can differ from measured ones.

Crystal structure
Lattice parameters (Å, degrees): 10.759 6.372 10.436 90.00 117.90 90.00
Space group P2_1/c (No. 14)
Asymmetric unit:
Na  0.023  0.058  0.259 [4 per cell]
Na  0.110  0.724  0.048 [4 per cell]
Gd  0.315  0.081  0.912 [4 per cell]
Gd  0.483  0.543  0.182 [4 per cell]
B  0.183  0.246  0.578 [4 per cell]
B  0.290  0.652  0.850 [4 per cell]
O  0.101  0.170  0.942 [4 per cell]
O  0.130  0.146  0.659 [4 per cell]
O  0.184  0.744  0.866 [4 per cell]
O  0.330  0.236  0.132 [4 per cell]
O  0.347  0.745  0.270 [4 per cell]
O  0.349  0.041  0.412 [4 per cell]
O  0.475  0.622  0.598 [4 per cell]

Most intense lines, 2θ = 10–90°, in order of falling intensity:
(hkl)	2θ (°)	d (Å)	intensity
1 1 -3	29.6	3.022	100
2 0 2	32.7	2.736	69
2 1 -3	29.7	3.006	67
4 0 -2	33.4	2.686	44
2 1 1	28.5	3.132	43
3 0 -2	25.6	3.481	38
3 1 -1	28.8	3.101	34
1 0 2	25.1	3.548	32
5 0 0	47.8	1.903	29
1 1 -1	17.0	5.223	28
2 2 2	43.7	2.073	25
2 0 -4	34.4	2.608	24